Ce2PbSe4: calculated powder X-ray diffraction pattern (Cu Kα (λ = 1.5418 Å)), based on a crystal structure in the Materials Project, relaxed with GGA-PBE.
Peak positions follow from Bragg's law for the DFT cell and can differ from measured ones.

Most intense lines, 10° ≤ 2θ ≤ 80°, low angle first:
2θ 24.00, 3.708 Å, I = 560
2θ 31.09, 2.876 Å, I = 1000
2θ 31.24, 2.863 Å, I = 559
2θ 37.01, 2.429 Å, I = 809
2θ 37.10, 2.423 Å, I = 233
2θ 44.56, 2.034 Å, I = 248
2θ 46.92, 1.936 Å, I = 283
2θ 51.34, 1.780 Å, I = 176
2θ 63.01, 1.475 Å, I = 328
2θ 77.06, 1.238 Å, I = 201

Crystal structure
Cell: 7.8655 7.8655 7.8655 Å, 109.33 109.33 109.76°
Atoms (fractional coordinates):
1 Ce 0.0065 0.6250 0.8815
2 Ce 0.3750 0.2565 0.3815
3 Ce 0.7435 0.1250 0.1185
4 Ce 0.8750 0.9935 0.6185
5 Pb 0.2500 0.7500 0.5000
6 Pb 0.5000 0.5000 0.0000
7 Se 0.1132 0.3660 0.5958
8 Se 0.1160 0.3632 0.0958
9 Se 0.2674 0.0202 0.9042
10 Se 0.4826 0.8868 0.2528
11 Se 0.6340 0.2298 0.7472
12 Se 0.6368 0.7326 0.7528
13 Se 0.7702 0.5174 0.4042
14 Se 0.9798 0.8840 0.2472

=====

Ce2ZnPb: calculated powder X-ray diffraction pattern (Cu Kα (λ = 1.5418 Å)), based on a crystal structure in the Materials Project, relaxed with GGA-PBE.
Peak positions follow from Bragg's law for the DFT cell and can differ from measured ones.

Most intense lines, 10° ≤ 2θ ≤ 80°, low angle first:
2θ 20.16, 4.405 Å, I = 125
2θ 33.21, 2.697 Å, I = 1000
2θ 39.16, 2.300 Å, I = 75
2θ 47.68, 1.907 Å, I = 182
2θ 52.27, 1.750 Å, I = 34
2θ 59.34, 1.557 Å, I = 379
2θ 63.35, 1.468 Å, I = 27
2θ 69.73, 1.349 Å, I = 117
2θ 73.43, 1.290 Å, I = 27
2θ 79.45, 1.206 Å, I = 164

Crystal structure
Cell: 5.3946 5.3946 5.3946 Å, 60.00 60.00 60.00°
Atoms (fractional coordinates):
1 Ce 0.2500 0.2500 0.2500
2 Ce 0.7500 0.7500 0.7500
3 Zn 0.0000 0.0000 0.0000
4 Pb 0.5000 0.5000 0.5000